Diffraction record for BaUSe2O8. The powder XRD pattern is calculated, not measured: it uses a crystal structure in the Materials Project, relaxed with PBE and λ = 1.5418 Å (Cu Kα).
Intensities are scaled so that the largest is 100.

Most intense lines, 2θ = 10–90°, by angle:
d/Å, I_rel
6.609, 100
5.773, 45
4.268, 80
3.766, 35
3.590, 51
3.151, 64
2.957, 44
2.741, 41
2.352, 51
2.222, 39

Structural model:
```
48
Lattice="7.835 0.000 0.000 0.000 9.018 0.000 -4.053 0.000 13.219" Properties=species:S:1:pos:R:3 pbc="T T T"
Ba 0.619 0.621 2.458
Ba -1.407 3.888 9.067
Ba 5.190 5.130 4.152
Ba 3.163 8.397 10.761
U 1.210 5.321 2.793
U -0.817 8.206 9.402
U 4.599 0.812 3.816
U 2.572 3.697 10.426
Se -2.612 5.264 12.474
Se -0.586 8.262 5.865
Se 0.015 1.887 11.682
Se 2.042 2.622 5.073
Se 1.740 6.396 8.146
Se 3.767 7.131 1.536
Se 4.368 0.756 7.354
Se 6.394 3.753 0.744
O -1.077 0.454 4.682
O -3.103 4.055 11.291
O -3.621 0.474 13.001
O -1.594 4.034 6.392
O -0.024 6.416 3.775
O -2.050 7.111 10.384
O -0.543 0.174 7.364
O 1.484 4.335 0.755
O -0.849 1.338 10.218
O 1.178 3.171 3.609
O 0.012 6.202 8.474
O 2.039 7.325 1.865
O 1.999 0.950 4.817
O -0.028 3.559 11.426
O 2.456 5.437 4.219
O 0.430 8.090 10.828
O 3.352 0.928 2.391
O 1.326 3.581 9.000
O 3.810 5.459 1.792
O 1.783 8.068 8.402
O 1.743 1.693 11.354
O 3.770 2.816 4.745
O 2.604 5.847 9.610
O 4.631 7.680 3.000
O 2.298 4.683 12.464
O 4.325 8.843 5.854
O 5.832 1.907 2.835
O 3.806 2.602 9.444
O 5.376 4.983 6.827
O 7.403 8.543 0.217
O 6.885 4.963 1.927
O 4.859 8.564 8.537
```